Structure and simulated XRD peak list of SmDyZnAg (DFT lattice parameters and positions (GGA-PBE); a wavelength of 1.5418 Å).

Most intense lines, 15 to 90 degrees two-theta, most intense first:
2θ = 34.82°, I = 100; 2θ = 62.44°, I = 36; 2θ = 50.07°, I = 18; 2θ = 84.00°, I = 16; 2θ = 73.52°, I = 11; 2θ = 24.43°, I = 8; 2θ = 56.48°, I = 4; 2θ = 43.00°, I = 2; 2θ = 78.81°, I = 2; 2θ = 21.12°, I = 2

Structure:
a = 5.152 Å, b = 5.152 Å, c = 5.152 Å
α = 60.00°, β = 60.00°, γ = 60.00°
Element x y z (fractional)
Sm1 0.000 0.000 0.000
Dy1 0.500 0.500 0.500
Zn1 0.750 0.750 0.750
Ag1 0.250 0.250 0.250

Structure and simulated XRD peak list of CaAc2Cd (DFT lattice parameters and positions (GGA-PBE); a wavelength of 1.5418 Å).

Most intense lines, 15 to 90 degrees two-theta, most intense first:
2θ = 27.98°, I = 100; 2θ = 33.75°, I = 57; 2θ = 30.40°, I = 57; 2θ = 28.85°, I = 56; 2θ = 22.47°, I = 37; 2θ = 33.40°, I = 36; 2θ = 30.05°, I = 27; 2θ = 54.35°, I = 23; 2θ = 16.50°, I = 22; 2θ = 58.52°, I = 20

Structure:
a = 7.322 Å, b = 7.322 Å, c = 10.745 Å
α = 90.00°, β = 90.00°, γ = 147.29°
Element x y z (fractional)
Ca1 0.054 0.946 0.750
Ca2 0.946 0.054 0.250
Ac1 0.363 0.637 0.550
Ac2 0.363 0.637 0.950
Ac3 0.637 0.363 0.050
Ac4 0.637 0.363 0.450
Cd1 0.264 0.736 0.250
Cd2 0.736 0.264 0.750

Structure and simulated XRD peak list of Ca2Zn2Rh5Pb (DFT lattice parameters and positions (GGA-PBE); a wavelength of 1.5418 Å).

Most intense lines, 15 to 90 degrees two-theta, most intense first:
2θ = 37.83°, I = 100; 2θ = 35.39°, I = 31; 2θ = 41.26°, I = 29; 2θ = 18.34°, I = 26; 2θ = 41.76°, I = 23; 2θ = 38.36°, I = 21; 2θ = 48.12°, I = 20; 2θ = 20.53°, I = 18; 2θ = 73.63°, I = 15; 2θ = 65.57°, I = 12

Structure:
a = 9.674 Å, b = 9.674 Å, c = 3.782 Å
α = 90.00°, β = 90.00°, γ = 90.00°
Element x y z (fractional)
Ca1 0.176 0.324 0.000
Ca2 0.324 0.824 0.000
Ca3 0.676 0.176 0.000
Ca4 0.824 0.676 0.000
Zn1 0.122 0.622 0.000
Zn2 0.378 0.122 0.000
Zn3 0.622 0.878 0.000
Zn4 0.878 0.378 0.000
Rh1 0.000 0.500 0.500
Rh2 0.065 0.790 0.500
Rh3 0.210 0.065 0.500
Rh4 0.290 0.565 0.500
Rh5 0.435 0.290 0.500
Rh6 0.500 0.000 0.500
Rh7 0.565 0.710 0.500
Rh8 0.710 0.435 0.500
Rh9 0.790 0.935 0.500
Rh10 0.935 0.210 0.500
Pb1 0.000 0.000 0.000
Pb2 0.500 0.500 0.000